Theoretical XRD peak list of SmCo4B4 for CuKα, from a cell relaxed with PBE.
Kinematic intensities with the Lorentz-polarization factor, no thermal factor.

Cell and atoms:
```
data_SmCo4B4
_chemical_formula_sum 'Sm2 Co8 B8'
_cell_length_a 7.016
_cell_length_b 7.016
_cell_length_c 3.802
_cell_angle_alpha 90.00
_cell_angle_beta 90.00
_cell_angle_gamma 90.00
_space_group_name_H-M_alt 'P 42/n'
_space_group_IT_number 86
loop_
_space_group_symop_operation_xyz
'x,y,z'
'-x,-y,-z'
'-y,x+1/2,z+1/2'
'y,-x+1/2,-z+1/2'
'-x+1/2,-y+1/2,z'
'x+1/2,y+1/2,-z'
'y+1/2,-x,z+1/2'
'-y+1/2,x,-z+1/2'
loop_
_atom_site_label
_atom_site_type_symbol
_atom_site_fract_x
_atom_site_fract_y
_atom_site_fract_z
Sm1 Sm 0.250 0.250 0.250
Co1 Co 0.108 0.634 0.143
B1 B 0.048 0.912 0.146
```

Top 10 peaks for 2θ = 10–90°, sorted by position:
2theta, I_rel, (hkl)
25.4, 19, 2 0 0
26.7, 47, 1 0 1
36.2, 14, 2 2 0
37.2, 100, 2 1 1
40.7, 71, 1 3 0
43.6, 14, 2 2 1
49.7, 14, 1 0 2
52.9, 24, 2 3 1
64.6, 14, 1 3 2
71.7, 19, 3 4 1